# RbCrAs2O8
Theoretical X-ray diffraction stick pattern, λ = 1.5418 Å (Cu Kα). Input: a PBE+U-relaxed structure.
Peak positions follow from Bragg's law for the DFT cell and can differ from measured ones.

Top 8 peaks for 10 to 80 degrees two-theta, in order of rising 2θ:
- hkl 0 0 3, 10.1°, rel. 10
- hkl 1 0 4, 23.3°, rel. 100
- hkl 0 0 9, 30.5°, rel. 10
- hkl 1 1 0, 33.1°, rel. 32
- hkl 0 1 8, 33.3°, rel. 12
- hkl 0 2 4, 40.9°, rel. 8
- hkl 2 0 8, 47.6°, rel. 12
- hkl 2 1 4, 53.5°, rel. 18

Crystal structure
```
data_RbCrAs2O8
_chemical_formula_sum 'Rb3 Cr3 As6 O24'
_symmetry_space_group_name_H-M 'R -3 m'
_symmetry_Int_Tables_number 166
_symmetry_space_group_name_Hall '-R 3 2"'
_cell_length_a 5.4157
_cell_length_b 5.4157
_cell_length_c 26.3215
_cell_angle_alpha 90.00
_cell_angle_beta 90.00
_cell_angle_gamma 120.00
loop_
_atom_site_label
_atom_site_type_symbol
_atom_site_fract_x
_atom_site_fract_y
_atom_site_fract_z
Rb1 Rb 0.0000 0.0000 0.0000
Cr1 Cr 0.0000 0.0000 0.5000
As1 As 0.0000 0.0000 0.2320
O1 O 0.0000 0.0000 0.2957
O2 O 0.0125 0.5063 0.1227
```